[1]
The following is a theoretical powder diffraction line list of Li2Fe2Si2O7. It was derived from a structure optimized by DFT (GGA+U), using Cu Kα.

```
26
Lattice="4.9357 0.0000 0.0000 -2.3258 4.3547 0.0000 -0.0953 -0.1615 13.3456" Properties=species:S:1:pos:R:3 pbc="T T T"
Li 0.0000 0.0000 0.0000
Li -0.0582 -0.0962 8.8657
Li 2.0166 1.6355 6.6739
Li 2.0615 1.7101 2.1932
Fe -0.1467 3.0082 7.7706
Fe -0.0934 3.0967 1.0979
Fe -0.0751 3.1343 4.4293
Fe -0.1174 3.0497 11.1018
Si 2.3168 1.3707 12.6058
Si 2.3445 1.4177 9.6112
Si 4.5573 0.1324 5.9325
Si 4.5892 0.1857 2.9382
O -1.4837 2.5399 12.6613
O -1.4626 2.6069 9.5967
O 0.1172 1.6845 5.9899
O 0.1706 1.7416 2.9265
O 1.2253 1.6366 0.3635
O 1.1670 1.5523 8.5049
O 1.5284 1.5088 11.1032
O 2.9158 0.0183 6.0031
O 2.9557 0.0933 2.8034
O 2.9891 -0.1309 12.6788
O 3.0318 -0.0672 9.4779
O 2.8812 3.4878 7.0351
O 2.7262 3.8594 4.4293
O 2.9380 3.5667 1.8313
```

Peak list (10 most intense, 10 to 90 degrees two-theta, low angle first)
d [Å]  Rel. int.
4.354  100
4.234  47
4.125  35
4.035  46
2.664  100
2.633  90
2.538  50
2.467  89
1.787  36
1.451  38

=====

[2]
The following is a theoretical powder diffraction line list of LiFeSiO4. It was derived from a structure optimized by DFT (GGA+U), using Cu Kα.

```
56
Lattice="5.7944 0.0000 0.0000 0.0000 7.4979 0.0000 0.0000 0.0000 16.2275" Properties=species:S:1:pos:R:3 pbc="T T T"
Li 0.3635 1.6901 3.6406
Li 0.3635 2.0588 11.7544
Li 2.5337 5.4391 3.6406
Li 2.5337 5.8077 11.7544
Li 3.2607 1.6901 4.4731
Li 3.2607 2.0588 12.5869
Li 5.4308 5.4391 4.4731
Li 5.4308 5.8077 12.5869
Fe 0.5612 5.1043 7.6084
Fe 0.5612 6.1425 15.7222
Fe 2.3360 1.3554 7.6084
Fe 2.3360 2.3936 15.7222
Fe 3.4584 5.1043 0.5054
Fe 3.4584 6.1425 8.6191
Fe 5.2332 1.3554 0.5054
Fe 5.2332 2.3936 8.6191
Si 0.5699 4.0475 1.8470
Si 0.5699 7.1993 9.9608
Si 2.3273 0.2986 1.8470
Si 2.3273 3.4504 9.9608
Si 3.4671 4.0475 6.2667
Si 3.4671 7.1993 14.3805
Si 5.2245 0.2986 6.2667
Si 5.2245 3.4504 14.3805
O 0.1707 4.9169 14.2969
O 0.1707 6.3299 6.1831
O 0.3767 1.3006 7.2420
O 0.3767 2.4483 15.3557
O 0.8526 4.6625 3.2848
O 0.8526 6.5843 11.3986
O 0.9240 0.1424 0.9135
O 0.9240 3.6066 9.0272
O 1.9731 3.8913 0.9135
O 1.9731 7.3555 9.0272
O 2.0446 0.9136 3.2848
O 2.0446 2.8354 11.3986
O 2.5205 5.0496 7.2420
O 2.5205 6.1972 15.3557
O 2.7265 1.1680 14.2969
O 2.7265 2.5809 6.1831
O 3.0678 4.9169 10.0444
O 3.0678 6.3299 1.9307
O 3.2739 1.3006 0.8718
O 3.2739 2.4483 8.9856
O 3.7498 4.6625 4.8289
O 3.7498 6.5843 12.9427
O 3.8212 0.1424 7.2003
O 3.8212 3.6066 15.3141
O 4.8703 3.8913 7.2003
O 4.8703 7.3555 15.3141
O 4.9418 0.9136 4.8289
O 4.9418 2.8354 12.9427
O 5.4177 5.0496 0.8718
O 5.4177 6.1972 8.9856
O 5.6237 1.1680 10.0444
O 5.6237 2.5809 1.9307
```

Peak list (10 most intense, 10 to 90 degrees two-theta, low angle first)
d [Å]  Rel. int.
8.114  100
3.653  7
3.497  21
2.935  9
2.753  7
2.722  12
2.702  10
2.487  6
2.453  9
1.636  8

=====

[3]
The following is a theoretical powder diffraction line list of LiFeSiO4. It was derived from a structure optimized by DFT (GGA+U), using Cu Kα.

```
28
Lattice="5.1172 0.0000 0.0000 0.0000 10.7716 0.0000 -5.0343 0.0000 6.4614" Properties=species:S:1:pos:R:3 pbc="T T T"
Li 0.9022 1.7526 0.1820
Li -1.6150 3.6332 3.4127
Li 1.6979 7.1384 3.0487
Li -0.8192 9.0191 6.2794
Fe -0.9012 6.3041 1.3521
Fe -3.4183 9.8533 4.5828
Fe 3.5013 0.9183 1.8786
Fe 0.9841 4.4675 5.1093
Si -3.3584 7.2329 6.2529
Si -0.8413 8.9245 3.0222
Si 0.9242 1.8471 3.4392
Si 3.4414 3.5387 0.2085
O -3.7116 6.3052 4.9236
O -1.1945 9.8523 1.6929
O -1.4128 7.3891 2.8255
O -3.9300 8.7684 6.0562
O -0.7068 1.8684 3.2369
O 1.8103 3.5175 0.0062
O 0.9716 6.5892 1.1434
O -1.5455 9.5682 4.3741
O 1.6285 1.2034 2.0873
O -0.8887 4.1824 5.3180
O -1.7274 7.2542 6.4552
O 0.7898 8.9033 3.2245
O 4.0129 2.0033 0.4052
O 1.4958 3.3825 3.6359
O 1.2774 0.9194 4.7685
O 3.7945 4.4665 1.5378
```

Peak list (10 most intense, 10 to 90 degrees two-theta, low angle first)
d [Å]  Rel. int.
5.541  86
4.137  100
4.037  57
3.987  99
3.780  43
3.230  31
2.770  63
2.693  37
2.558  57
1.569  31

=====

[4]
The following is a theoretical powder diffraction line list of LiFeSi2O6. It was derived from a structure optimized by DFT (GGA+U), using Cu Kα.

```
40
Lattice="5.4787 -5.5648 0.0000 5.4787 5.5648 0.0000 0.0000 0.0000 9.4330" Properties=species:S:1:pos:R:3 pbc="T T T"
Li 5.4787 3.5756 7.0748
Li 3.5057 0.0000 0.0000
Li 7.4516 0.0000 4.7165
Li 5.4787 -3.5756 2.3583
Fe 4.3952 3.1402 4.6377
Fe 6.5621 3.1402 0.0789
Fe 4.3952 -3.1402 4.7954
Fe 6.5621 -3.1402 9.3542
Si 1.1471 0.0000 4.7165
Si 3.1329 1.2090 6.9963
Si 3.1329 -1.2090 2.4368
Si 5.4787 0.9151 2.3583
Si 5.4787 -0.9151 7.0748
Si 7.8244 1.2090 7.1533
Si 7.8244 -1.2090 2.2797
Si 9.8102 0.0000 0.0000
O 2.4281 1.4908 8.4439
O 5.2524 4.3537 8.8429
O 5.7049 4.3537 5.3067
O 3.9030 2.4953 6.3703
O 2.0936 0.5646 5.9243
O 2.0936 -0.5646 3.5088
O 5.1594 1.7670 3.6848
O 2.4281 -1.4908 0.9891
O 5.7979 1.7670 1.0317
O 4.2036 0.0424 7.4958
O 4.2036 -0.0424 1.9373
O 7.0543 2.4953 7.7793
O 3.9030 -2.4953 3.0627
O 6.7537 0.0424 6.6538
O 6.7537 -0.0424 2.7792
O 5.1594 -1.7670 5.7482
O 8.5292 1.4908 5.7056
O 5.7979 -1.7670 8.4014
O 8.8637 0.5646 8.2253
O 8.8637 -0.5646 1.2078
O 7.0543 -2.4953 1.6538
O 5.2524 -4.3537 0.5902
O 5.7049 -4.3537 4.1263
O 8.5292 -1.4908 3.7274
```

Peak list (10 most intense, 10 to 90 degrees two-theta, low angle first)
d [Å]  Rel. int.
4.735  12
4.037  30
3.606  100
3.574  6
3.293  7
2.397  4
2.005  8
1.952  10
1.699  6
1.482  7